(1)
Pm6Sn3Ge: computed powder X-ray diffraction pattern (Cu Kα (weighted mean of Kα1 and Kα2)), based on a cell relaxed with GGA-PBE.

Atomic structure:
```
Pm6Sn3Ge
1.0
6.8849 3.9750 4.2305
-6.8849 3.9750 4.2305
0.0000 -7.9500 4.2305
Pm Sn Ge
12 6 2
direct
0.0406 0.9410 0.6793 Pm
0.0590 0.3207 0.9594 Pm
0.1897 0.5638 0.4244 Pm
0.3207 0.9594 0.0590 Pm
0.4244 0.1897 0.5638 Pm
0.4362 0.5756 0.8103 Pm
0.5638 0.4244 0.1897 Pm
0.5756 0.8103 0.4362 Pm
0.6793 0.0406 0.9410 Pm
0.8103 0.4362 0.5756 Pm
0.9410 0.6793 0.0406 Pm
0.9594 0.0590 0.3207 Pm
0.1204 0.3012 0.6231 Sn
0.3012 0.6231 0.1204 Sn
0.3769 0.8796 0.6988 Sn
0.6231 0.1204 0.3012 Sn
0.6988 0.3769 0.8796 Sn
0.8796 0.6988 0.3769 Sn
0.0000 0.0000 0.0000 Ge
0.5000 0.5000 0.5000 Ge
```

Top 10 peaks for 5 to 70 degrees two-theta, sorted by position:
2θ (°)  I/Imax
20.93  48
24.22  39
29.12  32
30.48  72
34.47  92
34.57  100
35.74  23
44.65  23
49.62  23
65.90  21


(2)
Pm2SnGe4: computed powder X-ray diffraction pattern (Cu Kα (weighted mean of Kα1 and Kα2)), based on a cell relaxed with GGA-PBE.

Atomic structure:
```
Pm2SnGe4
1.0
4.1151 0.0000 0.0000
0.0000 4.1151 0.0000
0.0000 0.0000 10.0985
Pm Sn Ge
2 1 4
direct
0.0000 0.5000 0.2355 Pm
0.5000 0.0000 0.7645 Pm
0.0000 0.0000 0.5000 Sn
0.0000 0.0000 0.0000 Ge
0.0000 0.5000 0.6855 Ge
0.5000 0.0000 0.3145 Ge
0.5000 0.5000 0.0000 Ge
```

Top 10 peaks for 5 to 70 degrees two-theta, sorted by position:
2θ (°)  I/Imax
23.34  22
27.97  15
34.42  14
35.60  100
41.98  10
44.01  28
50.36  15
57.81  14
63.95  15
69.02  11


(3)
Pm7Sn4Ge: computed powder X-ray diffraction pattern (Cu Kα (weighted mean of Kα1 and Kα2)), based on a cell relaxed with GGA-PBE.

Atomic structure:
```
Pm7Sn4Ge
1.0
7.7537 -2.8530 0.0000
7.7537 2.8530 0.0000
-5.0586 0.0000 8.3504
Pm Sn Ge
7 4 1
direct
0.0000 0.0000 0.0000 Pm
0.1677 0.1677 0.5531 Pm
0.3222 0.3222 0.0374 Pm
0.4396 0.4396 0.6686 Pm
0.5604 0.5604 0.3314 Pm
0.6778 0.6778 0.9626 Pm
0.8323 0.8323 0.4469 Pm
0.0710 0.0710 0.7583 Sn
0.2344 0.2344 0.2906 Sn
0.7656 0.7656 0.7094 Sn
0.9290 0.9290 0.2417 Sn
0.5000 0.5000 0.0000 Ge
```

Top 10 peaks for 5 to 70 degrees two-theta, sorted by position:
2θ (°)  I/Imax
25.68  17
29.32  38
31.35  64
31.54  100
31.86  20
34.71  15
43.24  20
43.46  26
43.95  17
55.93  20


(4)
Pm8Sn3Ge: computed powder X-ray diffraction pattern (Cu Kα (weighted mean of Kα1 and Kα2)), based on a cell relaxed with GGA-PBE.

Atomic structure:
```
Pm8Sn3Ge
1.0
-3.6840 3.6840 7.3756
3.6840 -3.6840 7.3756
3.6840 3.6840 -7.3756
Pm Sn Ge
8 3 1
direct
0.1228 0.1228 0.4892 Pm
0.1228 0.6336 0.0000 Pm
0.3664 0.3664 0.4892 Pm
0.3664 0.8772 0.0000 Pm
0.6336 0.1228 0.0000 Pm
0.6336 0.6336 0.5108 Pm
0.8772 0.3664 0.0000 Pm
0.8772 0.8772 0.5108 Pm
0.2500 0.7500 0.5000 Sn
0.5000 0.5000 0.0000 Sn
0.7500 0.2500 0.5000 Sn
0.0000 0.0000 0.0000 Ge
```

Top 10 peaks for 5 to 70 degrees two-theta, sorted by position:
2θ (°)  I/Imax
20.88  17
24.15  26
34.42  100
40.60  10
42.49  8
49.47  18
54.25  4
55.78  10
61.65  37
65.84  3


(5)
SrPm4Ge2: computed powder X-ray diffraction pattern (Cu Kα (weighted mean of Kα1 and Kα2)), based on a cell relaxed with GGA-PBE.

Atomic structure:
```
SrPm4Ge2
1.0
-4.6360 4.6360 4.8607
4.6360 -4.6360 4.8607
4.6360 4.6360 -4.8607
Sr Pm Ge
2 8 4
direct
0.0000 0.0000 0.0000 Sr
0.7500 0.2500 0.5000 Sr
0.0102 0.4359 0.2650 Pm
0.1709 0.7452 0.7350 Pm
0.1859 0.2602 0.7650 Pm
0.2548 0.9898 0.4257 Pm
0.4952 0.4209 0.2350 Pm
0.5641 0.8291 0.5743 Pm
0.5791 0.8141 0.0743 Pm
0.7398 0.5048 0.9257 Pm
0.2128 0.6250 0.0878 Ge
0.3750 0.4628 0.5878 Ge
0.5372 0.1250 0.9122 Ge
0.8750 0.7872 0.4122 Ge
```

Top 10 peaks for 5 to 70 degrees two-theta, sorted by position:
2θ (°)  I/Imax
13.20  28
23.32  25
26.57  31
29.19  95
30.35  100
30.49  44
35.76  95
36.13  98
48.66  25
63.16  43


(6)
Tb3PmGe3: computed powder X-ray diffraction pattern (Cu Kα (weighted mean of Kα1 and Kα2)), based on a cell relaxed with GGA-PBE.

Atomic structure:
```
Tb3PmGe3
1.0
8.9914 0.0000 0.0000
-4.4957 7.7868 0.0000
0.0000 0.0000 5.7223
Tb Pm Ge
6 2 6
direct
0.0226 0.3224 0.2500 Tb
0.2998 0.9774 0.2500 Tb
0.3224 0.2998 0.7500 Tb
0.6776 0.7002 0.2500 Tb
0.7002 0.0226 0.7500 Tb
0.9774 0.6776 0.7500 Tb
0.3333 0.6667 0.7500 Pm
0.6667 0.3333 0.2500 Pm
0.0076 0.6516 0.2500 Ge
0.3484 0.3560 0.2500 Ge
0.3560 0.0076 0.7500 Ge
0.6440 0.9924 0.2500 Ge
0.6516 0.6440 0.7500 Ge
0.9924 0.3484 0.7500 Ge
```

Top 10 peaks for 5 to 70 degrees two-theta, sorted by position:
2θ (°)  I/Imax
19.25  12
19.75  25
25.19  29
27.71  26
31.26  50
34.26  23
34.56  100
47.28  83
53.76  15
61.92  14


(7)
TbPm12Ge7: computed powder X-ray diffraction pattern (Cu Kα (weighted mean of Kα1 and Kα2)), based on a cell relaxed with GGA-PBE.

Atomic structure:
```
TbPm12Ge7
1.0
7.5468 4.3571 2.8940
-7.5468 4.3571 2.8940
0.0000 -8.7143 2.8940
Tb Pm Ge
1 12 7
direct
0.0000 0.0000 0.0000 Tb
0.0000 0.2680 0.7320 Pm
0.0000 0.7320 0.2680 Pm
0.1662 0.4742 0.4742 Pm
0.2680 0.0000 0.7320 Pm
0.2680 0.7320 0.0000 Pm
0.4742 0.1662 0.4742 Pm
0.4742 0.4742 0.1662 Pm
0.5258 0.5258 0.8338 Pm
0.5258 0.8338 0.5258 Pm
0.7320 0.0000 0.2680 Pm
0.7320 0.2680 0.0000 Pm
0.8338 0.5258 0.5258 Pm
0.1323 0.1323 0.4553 Ge
0.1323 0.4553 0.1323 Ge
0.4553 0.1323 0.1323 Ge
0.5000 0.5000 0.5000 Ge
0.5447 0.8677 0.8677 Ge
0.8677 0.5447 0.8677 Ge
0.8677 0.8677 0.5447 Ge
```

Top 10 peaks for 5 to 70 degrees two-theta, sorted by position:
2θ (°)  I/Imax
26.65  53
29.20  38
30.90  28
31.56  17
32.17  100
35.69  51
37.30  36
48.23  19
53.41  31
65.18  15


(8)
Tb2Pm3Ge2: computed powder X-ray diffraction pattern (Cu Kα (weighted mean of Kα1 and Kα2)), based on a cell relaxed with GGA-PBE.

Atomic structure:
```
Tb2Pm3Ge2
1.0
5.9982 -2.1146 0.0000
5.9982 2.1146 0.0000
-2.9390 0.0000 7.8997
Tb Pm Ge
2 3 2
direct
0.1506 0.1506 0.3039 Tb
0.8494 0.8494 0.6961 Tb
0.3707 0.3707 0.0607 Pm
0.5000 0.5000 0.5000 Pm
0.6293 0.6293 0.9393 Pm
0.1763 0.1763 0.6962 Ge
0.8237 0.8237 0.3038 Ge
```

Top 10 peaks for 5 to 70 degrees two-theta, sorted by position:
2θ (°)  I/Imax
26.39  32
29.93  40
30.92  100
31.89  80
32.12  43
34.00  92
38.67  19
42.76  36
54.32  25
54.45  30


(9)
Tb2Pm3Ge3: computed powder X-ray diffraction pattern (Cu Kα (weighted mean of Kα1 and Kα2)), based on a cell relaxed with GGA-PBE.

Atomic structure:
```
Tb2Pm3Ge3
1.0
-2.0228 2.4866 10.4027
2.0228 -2.4866 10.4027
2.0228 2.4866 -10.4027
Tb Pm Ge
2 3 3
direct
0.2321 0.2321 0.0000 Tb
0.7679 0.7679 0.0000 Tb
0.0000 0.0000 0.0000 Pm
0.3865 0.8865 0.5000 Pm
0.6135 0.1135 0.5000 Pm
0.1301 0.6301 0.5000 Ge
0.5000 0.5000 0.0000 Ge
0.8699 0.3699 0.5000 Ge
```

Top 10 peaks for 5 to 70 degrees two-theta, sorted by position:
2θ (°)  I/Imax
22.39  8
27.96  16
33.34  100
34.49  17
36.12  22
44.80  12
50.80  11
57.74  8
58.85  11
63.20  16


(10)
Tb2PmGe4: computed powder X-ray diffraction pattern (Cu Kα (weighted mean of Kα1 and Kα2)), based on a cell relaxed with GGA-PBE.

Atomic structure:
```
Tb2PmGe4
1.0
-2.0244 2.1518 9.1874
2.0244 -2.1518 9.1874
2.0244 2.1518 -9.1874
Tb Pm Ge
2 1 4
direct
0.1812 0.1812 0.0000 Tb
0.8188 0.8188 0.0000 Tb
0.0000 0.5000 0.5000 Pm
0.3410 0.3410 0.0000 Ge
0.4326 0.9326 0.5000 Ge
0.5674 0.0674 0.5000 Ge
0.6590 0.6590 0.0000 Ge
```

Top 10 peaks for 5 to 70 degrees two-theta, sorted by position:
2θ (°)  I/Imax
26.39  20
29.16  23
31.87  100
32.03  37
36.20  21
40.98  19
41.99  26
42.56  26
44.77  22
50.33  18


(11)
Pm3Tc4Ge4: computed powder X-ray diffraction pattern (Cu Kα (weighted mean of Kα1 and Kα2)), based on a cell relaxed with GGA-PBE.

Atomic structure:
```
Pm3Tc4Ge4
1.0
-3.8637 3.8637 3.8637
3.8637 -3.8637 3.8637
3.8637 3.8637 -3.8637
Pm Tc Ge
3 4 4
direct
0.0000 0.5000 0.5000 Pm
0.5000 0.0000 0.5000 Pm
0.5000 0.5000 0.0000 Pm
0.0000 0.0000 0.2462 Tc
0.0000 0.2462 0.0000 Tc
0.2462 0.0000 0.0000 Tc
0.7538 0.7538 0.7538 Tc
0.0000 0.0000 0.6109 Ge
0.0000 0.6109 0.0000 Ge
0.3891 0.3891 0.3891 Ge
0.6109 0.0000 0.0000 Ge
```

Top 10 peaks for 5 to 70 degrees two-theta, sorted by position:
2θ (°)  I/Imax
23.02  15
28.29  22
32.78  100
36.78  72
40.44  19
43.84  44
50.08  36
53.00  21
58.52  24
68.72  22


(12)
PmTc4Ge2: computed powder X-ray diffraction pattern (Cu Kα (weighted mean of Kα1 and Kα2)), based on a cell relaxed with GGA-PBE.

Atomic structure:
```
PmTc4Ge2
1.0
2.0764 -7.2128 0.0000
2.0764 7.2128 0.0000
0.0000 0.0000 4.1202
Pm Tc Ge
1 4 2
direct
0.0000 0.0000 0.0000 Pm
0.1936 0.8064 0.5000 Tc
0.3016 0.6984 0.0000 Tc
0.6984 0.3016 0.0000 Tc
0.8064 0.1936 0.5000 Tc
0.4113 0.5887 0.5000 Ge
0.5887 0.4113 0.5000 Ge
```

Top 10 peaks for 5 to 70 degrees two-theta, sorted by position:
2θ (°)  I/Imax
12.27  17
31.20  13
33.01  19
35.94  100
37.97  15
43.59  40
43.95  31
44.09  38
54.47  13
63.63  20